# 1
For Tl7Zn, a crystal structure in Alexandria, relaxed with GGA-PBE gives the computed powder X-ray diffraction pattern in this record (Cu Kα (weighted mean of Kα1 and Kα2)).
No peak broadening, texture or thermal motion is included.

Cell and atoms:
```
Tl7Zn
1.0
0.0000 4.8892 4.8892
4.8892 0.0000 4.8892
4.8892 4.8892 0.0000
Tl Zn
7 1
Cartesian
0.0000 0.0000 0.0000
2.4446 2.4446 0.0000
2.4446 0.0000 2.4446
4.8892 2.4446 2.4446
0.0000 2.4446 2.4446
2.4446 4.8892 2.4446
2.4446 2.4446 4.8892
4.8892 4.8892 4.8892
```

Largest 6 diffraction maxima, in order of rising 2θ, 2θ from 10° to 90°:
| d/Å | 2θ/deg | Rel. int. |
| --- | --- | --- |
| 2.823 | 31.7 | 100 |
| 2.445 | 36.8 | 51 |
| 1.729 | 53.0 | 36 |
| 1.474 | 63.1 | 43 |
| 1.122 | 86.8 | 18 |
| 1.093 | 89.7 | 17 |

***

# 2
For CuSO7, a crystal structure in Alexandria, relaxed with GGA-PBE gives the computed powder X-ray diffraction pattern in this record (Cu Kα (weighted mean of Kα1 and Kα2)).
No peak broadening, texture or thermal motion is included.

Cell and atoms:
```
CuSO7
1.0
2.5773 -8.3491 0.0000
2.5773 8.3491 0.0000
-1.9041 0.0000 6.3727
Cu S O
2 2 14
Cartesian
1.6252 8.3178 3.1863
2.5773 -8.3178 0.0000
1.5738 1.5568 4.2460
2.5259 -1.5568 1.0596
1.1710 7.6452 4.8134
1.1633 3.2793 0.5985
0.7520 2.7462 4.1856
2.2381 3.5376 1.0940
0.7870 0.2817 3.9668
1.7390 -0.2817 0.7805
0.2112 -3.2793 3.7848
1.7041 -2.7462 0.9993
2.7299 1.6022 3.3245
2.0646 1.4047 5.6808
1.2860 -3.5376 4.2804
3.0167 -1.4047 2.4945
3.6819 -1.6022 0.1382
2.1230 -7.6452 1.6271
```

Largest 6 diffraction maxima, in order of rising 2θ, 2θ from 10° to 90°:
| d/Å | 2θ/deg | Rel. int. |
| --- | --- | --- |
| 8.349 | 10.6 | 100 |
| 5.066 | 17.5 | 11 |
| 3.694 | 24.1 | 37 |
| 3.542 | 25.1 | 18 |
| 3.061 | 29.2 | 21 |
| 2.767 | 32.4 | 18 |

***

# 3
For La5Pr8Pb, a crystal structure in Alexandria, relaxed with GGA-PBE gives the computed powder X-ray diffraction pattern in this record (Cu Kα (weighted mean of Kα1 and Kα2)).
No peak broadening, texture or thermal motion is included.

Cell and atoms:
```
La5Pr8Pb
1.0
8.0600 -4.2475 0.0000
8.0600 4.2475 0.0000
-4.9756 0.0000 7.4720
La Pr Pb
5 8 1
Cartesian
0.0000 0.0000 0.0000
6.1392 1.7125 2.1309
5.0052 1.7125 5.3411
2.8449 -1.5463 5.6249
8.2994 -1.5463 1.8471
-0.6879 0.0146 4.2896
1.6567 1.3661 6.2737
2.7313 0.2216 2.6200
9.4877 1.3661 1.1982
4.8688 -1.7889 0.3628
8.4131 0.2216 4.8520
11.8322 0.0146 3.1824
6.2756 -1.7889 7.1092
5.5722 -1.3097 3.7360
```

Largest 6 diffraction maxima, in order of rising 2θ, 2θ from 10° to 90°:
| d/Å | 2θ/deg | Rel. int. |
| --- | --- | --- |
| 2.968 | 30.1 | 72 |
| 2.947 | 30.3 | 100 |
| 2.917 | 30.6 | 67 |
| 2.822 | 31.7 | 35 |
| 2.802 | 31.9 | 31 |
| 2.771 | 32.3 | 48 |

***

# 4
For Hf6In2Re, a crystal structure in Alexandria, relaxed with GGA-PBE gives the computed powder X-ray diffraction pattern in this record (Cu Kα (weighted mean of Kα1 and Kα2)).
No peak broadening, texture or thermal motion is included.

Cell and atoms:
```
Hf6In2Re
1.0
-2.3498 3.3487 7.0077
2.3498 -3.3487 7.0077
2.3498 3.3487 -7.0077
Hf In Re
6 2 1
Cartesian
2.3498 1.5906 -2.1735
0.0000 1.5378 0.0000
2.3498 1.5906 2.1735
0.0000 1.7582 4.8342
0.0000 5.1597 0.0000
0.0000 1.7582 9.1812
2.3498 0.0000 4.6326
0.0000 3.3487 2.3751
2.3498 0.0000 0.0000
```

Largest 6 diffraction maxima, in order of rising 2θ, 2θ from 10° to 90°:
| d/Å | 2θ/deg | Rel. int. |
| --- | --- | --- |
| 3.840 | 23.2 | 25 |
| 3.313 | 26.9 | 18 |
| 2.354 | 38.2 | 100 |
| 2.336 | 38.5 | 19 |
| 1.657 | 55.5 | 13 |
| 1.358 | 69.2 | 14 |

***

# 5
For Dy3Pt, a crystal structure in Alexandria, relaxed with GGA-PBE gives the computed powder X-ray diffraction pattern in this record (Cu Kα (weighted mean of Kα1 and Kα2)).
No peak broadening, texture or thermal motion is included.

Cell and atoms:
```
Dy3Pt
1.0
7.0375 0.0000 0.0000
0.0000 9.5963 0.0000
0.0000 0.0000 6.4885
Dy Pt
12 4
Cartesian
0.1847 2.3991 0.8561
1.2708 0.5841 4.3997
1.2708 4.2141 4.3997
2.2480 5.3822 1.1555
2.2480 9.0122 1.1555
3.3340 7.1972 4.1004
3.7035 2.3991 2.3881
4.7895 0.5841 5.3330
4.7895 4.2141 5.3330
5.7667 5.3822 2.0888
5.7667 9.0122 2.0888
6.8528 7.1972 5.6324
0.7865 7.1972 2.9096
2.7322 2.3991 6.1539
4.3053 7.1972 0.3347
6.2509 2.3991 3.5789
```

Largest 6 diffraction maxima, in order of rising 2θ, 2θ from 10° to 90°:
| d/Å | 2θ/deg | Rel. int. |
| --- | --- | --- |
| 2.945 | 30.4 | 63 |
| 2.869 | 31.2 | 66 |
| 2.838 | 31.5 | 69 |
| 2.817 | 31.8 | 100 |
| 2.657 | 33.7 | 66 |
| 2.600 | 34.5 | 66 |

***

# 6
For K3H4O, a crystal structure in Alexandria, relaxed with GGA-PBE gives the computed powder X-ray diffraction pattern in this record (Cu Kα (weighted mean of Kα1 and Kα2)).
No peak broadening, texture or thermal motion is included.

Cell and atoms:
```
K3H4O
1.0
22.2978 0.0000 0.0000
0.0000 3.8419 0.0000
-0.4249 0.0000 4.0480
K H O
6 8 2
Cartesian
0.0000 0.0000 0.0000
3.2689 0.0000 2.8230
7.4551 1.9210 1.2250
11.1489 1.9210 0.0000
14.4178 1.9210 2.8230
18.6040 0.0000 1.2250
0.8576 1.9210 1.7288
1.9670 1.9210 1.3192
8.7570 0.0000 2.7288
9.8664 0.0000 2.3192
12.0066 0.0000 1.7288
13.1159 0.0000 1.3192
19.9060 1.9210 2.7288
21.0153 1.9210 2.3192
-0.2124 1.9210 2.0240
10.9365 0.0000 2.0240
```

Largest 6 diffraction maxima, in order of rising 2θ, 2θ from 10° to 90°:
| d/Å | 2θ/deg | Rel. int. |
| --- | --- | --- |
| 3.786 | 23.5 | 44 |
| 3.696 | 24.1 | 100 |
| 3.681 | 24.2 | 53 |
| 3.445 | 25.9 | 50 |
| 2.741 | 32.7 | 63 |
| 2.441 | 36.8 | 74 |